[1]
# ThIBr4
Theoretical powder diffractogram, CuKα. Input: a cell relaxed with GGA-PBE.
Kinematic intensities with the Lorentz-polarization factor, no thermal factor.

Atomic structure:
a b c (Å): 8.180 8.180 8.180
angles (deg): 122.65 122.65 85.47
Fractional coordinates of all 6 atoms:
Th: 0.000 0.000 0.000
I: 0.250 0.750 0.500
Br: 0.391 0.243 0.374
Br: 0.757 0.132 0.148
Br: 0.868 0.016 0.626
Br: 0.984 0.609 0.852

Principal peaks in the range 2θ from 10° to 80°, in order of rising 2θ:
d 6.572, intensity 100; d 4.077, intensity 63; d 3.370, intensity 42; d 2.640, intensity 33; d 2.385, intensity 22; d 2.295, intensity 26

[2]
# Ti3I7Br
Theoretical powder diffractogram, CuKα. Input: a cell relaxed with GGA-PBE.
Kinematic intensities with the Lorentz-polarization factor, no thermal factor.

Atomic structure:
a b c (Å): 7.748 7.748 9.978
angles (deg): 125.14 125.14 59.98
Fractional coordinates of all 11 atoms:
Ti: 0.000 0.000 0.000
Ti: 0.000 0.421 0.000
Ti: 0.421 0.000 0.000
I: 0.040 0.539 0.795
I: 0.424 0.424 0.240
I: 0.424 0.928 0.240
I: 0.539 0.040 0.795
I: 0.539 0.539 0.795
I: 0.906 0.906 0.201
I: 0.928 0.424 0.240
Br: 0.019 0.019 0.755

Principal peaks in the range 2θ from 10° to 80°, in order of rising 2θ:
d 7.456, intensity 43; d 3.728, intensity 44; d 3.067, intensity 100; d 3.051, intensity 93; d 2.500, intensity 43; d 1.937, intensity 43

[3]
# Ti3I4Br2
Theoretical powder diffractogram, CuKα. Input: a cell relaxed with GGA-PBE.
Kinematic intensities with the Lorentz-polarization factor, no thermal factor.

Atomic structure:
a b c (Å): 3.671 3.671 25.651
angles (deg): 90.00 90.00 120.00
Fractional coordinates of all 9 atoms:
Ti: 0.000 0.000 0.000
Ti: 0.333 0.667 0.292
Ti: 0.333 0.667 0.708
I: 0.000 0.000 0.221
I: 0.000 0.000 0.363
I: 0.000 0.000 0.637
I: 0.000 0.000 0.779
Br: 0.333 0.667 0.064
Br: 0.333 0.667 0.936

Principal peaks in the range 2θ from 10° to 80°, in order of rising 2θ:
d 8.550, intensity 88; d 3.179, intensity 86; d 2.702, intensity 100; d 2.401, intensity 57; d 2.258, intensity 53; d 1.835, intensity 61

[4]
# Ti3I2Br4
Theoretical powder diffractogram, CuKα. Input: a cell relaxed with GGA-PBE.
Kinematic intensities with the Lorentz-polarization factor, no thermal factor.

Atomic structure:
a b c (Å): 3.571 3.571 28.536
angles (deg): 90.00 90.00 120.00
Fractional coordinates of all 9 atoms:
Ti: 0.000 0.000 0.000
Ti: 0.333 0.667 0.265
Ti: 0.333 0.667 0.735
I: 0.333 0.667 0.065
I: 0.333 0.667 0.935
Br: 0.000 0.000 0.206
Br: 0.000 0.000 0.323
Br: 0.000 0.000 0.677
Br: 0.000 0.000 0.794

Principal peaks in the range 2θ from 10° to 80°, in order of rising 2θ:
d 3.092, intensity 59; d 3.074, intensity 40; d 3.022, intensity 49; d 2.592, intensity 100; d 2.214, intensity 85; d 1.785, intensity 49

[5]
# Ti3IBr7
Theoretical powder diffractogram, CuKα. Input: a cell relaxed with GGA-PBE.
Kinematic intensities with the Lorentz-polarization factor, no thermal factor.

Atomic structure:
a b c (Å): 7.291 7.291 7.355
angles (deg): 90.00 90.00 120.00
Fractional coordinates of all 11 atoms:
Ti: 0.043 0.522 0.000
Ti: 0.478 0.522 0.000
Ti: 0.478 0.957 0.000
I: 0.333 0.667 0.716
Br: 0.170 0.339 0.219
Br: 0.170 0.830 0.219
Br: 0.337 0.168 0.814
Br: 0.661 0.830 0.219
Br: 0.667 0.333 0.198
Br: 0.832 0.168 0.814
Br: 0.832 0.663 0.814

Principal peaks in the range 2θ from 10° to 80°, in order of rising 2θ:
d 7.355, intensity 41; d 3.677, intensity 17; d 2.901, intensity 100; d 2.395, intensity 39; d 1.936, intensity 22; d 1.823, intensity 24

[6]
# Tl4IBr3
Theoretical powder diffractogram, CuKα. Input: a cell relaxed with GGA-PBE.
Kinematic intensities with the Lorentz-polarization factor, no thermal factor.

Atomic structure:
a b c (Å): 11.719 9.802 6.830
angles (deg): 90.00 90.00 90.00
Fractional coordinates of all 16 atoms:
Tl: 0.000 0.169 0.000
Tl: 0.000 0.820 0.501
Tl: 0.239 0.662 0.001
Tl: 0.261 0.338 0.501
Tl: 0.500 0.180 0.001
Tl: 0.500 0.831 0.500
Tl: 0.739 0.338 0.501
Tl: 0.761 0.662 0.001
I: 0.000 0.172 0.500
I: 0.500 0.828 0.000
Br: 0.000 0.834 0.001
Br: 0.249 0.330 0.001
Br: 0.251 0.670 0.501
Br: 0.500 0.166 0.501
Br: 0.749 0.670 0.501
Br: 0.751 0.330 0.001

Principal peaks in the range 2θ from 10° to 80°, in order of rising 2θ:
d 5.030, intensity 98; d 4.901, intensity 53; d 3.415, intensity 81; d 2.930, intensity 53; d 2.854, intensity 100; d 2.190, intensity 95